Calculated powder diffraction line list of Ba2CaN2 for Cu Kα X-rays, from a structure optimized by DFT (GGA-PBE).
Neutral-atom scattering factors, no anomalous dispersion.

Top 10 peaks for 2θ from 10° to 90°, most intense first:
- 28.46 deg, rel. 100.0
- 27.69 deg, rel. 96.4
- 33.90 deg, rel. 80.7
- 45.64 deg, rel. 67.4
- 29.64 deg, rel. 66.6
- 15.50 deg, rel. 62.1
- 32.57 deg, rel. 30.8
- 57.80 deg, rel. 23.4
- 51.88 deg, rel. 19.0
- 33.62 deg, rel. 18.9

Crystal structure
```
Ba2CaN2
1.0
6.0271 0.0000 0.0000
0.0000 11.4335 0.0000
0.0000 0.0000 3.6720
Ba Ca N
4 2 4
Direct
0.2500 0.0642 0.2281 Ba
0.2500 0.4358 0.2281 Ba
0.7500 0.5642 0.7719 Ba
0.7500 0.9358 0.7719 Ba
0.2500 0.7500 0.2289 Ca
0.7500 0.2500 0.7711 Ca
0.2500 0.5968 0.7091 N
0.2500 0.9032 0.7091 N
0.7500 0.0968 0.2909 N
0.7500 0.4032 0.2909 N
```